Entry 1:
For Tl2AgPdCl6, a PBE-relaxed structure gives the theoretical powder XRD pattern in this record (Cu Kα X-rays).
Kinematic intensities with the Lorentz-polarization factor, no thermal factor.

Peak list (10 most intense, 10° ≤ 2θ ≤ 90°, by intensity)
- 2θ = 25.17°, I 100
- 2θ = 33.71°, I 55
- 2θ = 22.05°, I 54
- 2θ = 51.68°, I 32
- 2θ = 30.02°, I 29
- 2θ = 31.55°, I 27
- 2θ = 39.57°, I 25
- 2θ = 44.35°, I 23
- 2θ = 27.92°, I 20
- 2θ = 42.53°, I 20

Atomic structure:
abc: 13.137 13.137 13.137
angles: 31.24 31.24 31.24
Fractional positions:
Tl1 0.131 0.131 0.131
Tl2 0.303 0.303 0.303
Tl3 0.697 0.697 0.697
Tl4 0.869 0.869 0.869
Ag1 0.413 0.413 0.413
Ag2 0.587 0.587 0.587
Pd1 0.000 0.000 0.000
Pd2 0.500 0.500 0.500
Cl1 0.135 0.626 0.626
Cl2 0.201 0.201 0.711
Cl3 0.201 0.711 0.201
Cl4 0.289 0.799 0.799
Cl5 0.374 0.374 0.865
Cl6 0.374 0.865 0.374
Cl7 0.626 0.135 0.626
Cl8 0.626 0.626 0.135
Cl9 0.711 0.201 0.201
Cl10 0.799 0.289 0.799
Cl11 0.799 0.799 0.289
Cl12 0.865 0.374 0.374

***

Entry 2:
For Cs2Rb13, a PBE-relaxed structure gives the theoretical powder XRD pattern in this record (Cu Kα X-rays).
Kinematic intensities with the Lorentz-polarization factor, no thermal factor.

Peak list (10 most intense, 10° ≤ 2θ ≤ 90°, by intensity)
- 2θ = 22.32°, I 100
- 2θ = 21.72°, I 71
- 2θ = 22.17°, I 34
- 2θ = 38.43°, I 24
- 2θ = 38.28°, I 16
- 2θ = 38.50°, I 16
- 2θ = 39.33°, I 15
- 2θ = 30.82°, I 15
- 2θ = 31.00°, I 14
- 2θ = 32.50°, I 13

Atomic structure:
abc: 9.196 12.882 12.932
angles: 65.96 82.01 83.93
Fractional positions:
Cs1 0.134 0.302 0.464
Cs2 0.866 0.698 0.536
Rb1 0.000 0.500 0.000
Rb2 0.072 0.897 0.743
Rb3 0.197 0.710 0.192
Rb4 0.272 0.103 0.931
Rb5 0.346 0.500 0.672
Rb6 0.391 0.905 0.399
Rb7 0.468 0.300 0.126
Rb8 0.532 0.700 0.874
Rb9 0.609 0.095 0.601
Rb10 0.654 0.500 0.328
Rb11 0.728 0.897 0.069
Rb12 0.803 0.290 0.808
Rb13 0.928 0.103 0.257

***

Entry 3:
For TlInHg6, a PBE-relaxed structure gives the theoretical powder XRD pattern in this record (Cu Kα X-rays).
Kinematic intensities with the Lorentz-polarization factor, no thermal factor.

Peak list (10 most intense, 10° ≤ 2θ ≤ 90°, by intensity)
- 2θ = 34.67°, I 100
- 2θ = 32.43°, I 27
- 2θ = 30.53°, I 23
- 2θ = 45.14°, I 16
- 2θ = 59.29°, I 15
- 2θ = 64.69°, I 15
- 2θ = 54.30°, I 12
- 2θ = 65.96°, I 10
- 2θ = 64.57°, I 7
- 2θ = 59.33°, I 7

Atomic structure:
abc: 5.521 6.757 6.757
angles: 60.15 90.00 90.00
Fractional positions:
Tl1 0.000 0.000 0.000
In1 0.500 0.669 0.669
Hg1 0.000 0.001 0.499
Hg2 0.000 0.499 0.001
Hg3 0.000 0.499 0.499
Hg4 0.500 0.173 0.173
Hg5 0.500 0.173 0.662
Hg6 0.500 0.662 0.173

***

Entry 4:
For La3Tl4SnTe8, a PBE-relaxed structure gives the theoretical powder XRD pattern in this record (Cu Kα X-rays).
Kinematic intensities with the Lorentz-polarization factor, no thermal factor.

Peak list (10 most intense, 10° ≤ 2θ ≤ 90°, by intensity)
- 2θ = 26.67°, I 100
- 2θ = 37.38°, I 38
- 2θ = 38.77°, I 38
- 2θ = 47.68°, I 21
- 2θ = 63.07°, I 18
- 2θ = 61.13°, I 17
- 2θ = 54.95°, I 13
- 2θ = 69.27°, I 13
- 2θ = 89.29°, I 7
- 2θ = 45.32°, I 7

Atomic structure:
abc: 9.635 9.635 9.635
angles: 57.65 57.65 57.65
Fractional positions:
La1 0.000 0.500 0.500
La2 0.500 0.000 0.500
La3 0.500 0.500 0.000
Tl1 0.000 0.000 0.500
Tl2 0.000 0.500 0.000
Tl3 0.500 0.000 0.000
Tl4 0.500 0.500 0.500
Sn1 0.000 0.000 0.000
Te1 0.238 0.238 0.746
Te2 0.238 0.746 0.238
Te3 0.254 0.762 0.762
Te4 0.258 0.258 0.258
Te5 0.742 0.742 0.742
Te6 0.746 0.238 0.238
Te7 0.762 0.254 0.762
Te8 0.762 0.762 0.254

***

Entry 5:
For Ho6Mg2Al, a PBE-relaxed structure gives the theoretical powder XRD pattern in this record (Cu Kα X-rays).
Kinematic intensities with the Lorentz-polarization factor, no thermal factor.

Peak list (10 most intense, 10° ≤ 2θ ≤ 90°, by intensity)
- 2θ = 30.84°, I 100
- 2θ = 32.94°, I 58
- 2θ = 34.20°, I 51
- 2θ = 34.02°, I 42
- 2θ = 25.17°, I 34
- 2θ = 29.30°, I 29
- 2θ = 28.06°, I 26
- 2θ = 41.70°, I 25
- 2θ = 33.60°, I 24
- 2θ = 54.99°, I 22

Atomic structure:
abc: 8.722 8.722 8.722
angles: 113.29 109.13 106.08
Fractional positions:
Ho1 0.067 0.245 0.822
Ho2 0.246 0.573 0.326
Ho3 0.246 0.920 0.674
Ho4 0.308 0.238 0.546
Ho5 0.308 0.762 0.070
Ho6 0.423 0.245 0.178
Ho7 0.577 0.755 0.822
Ho8 0.692 0.238 0.930
Ho9 0.692 0.762 0.454
Ho10 0.754 0.080 0.326
Ho11 0.754 0.427 0.674
Ho12 0.933 0.755 0.178
Mg1 0.000 0.143 0.143
Mg2 0.000 0.857 0.857
Mg3 0.135 0.500 0.635
Mg4 0.865 0.500 0.365
Al1 0.500 0.000 0.500
Al2 0.500 0.500 0.000

***

Entry 6:
For CaSm2PuP4, a PBE-relaxed structure gives the theoretical powder XRD pattern in this record (Cu Kα X-rays).
Kinematic intensities with the Lorentz-polarization factor, no thermal factor.

Peak list (10 most intense, 10° ≤ 2θ ≤ 90°, by intensity)
- 2θ = 26.78°, I 100
- 2θ = 30.96°, I 85
- 2θ = 44.48°, I 77
- 2θ = 31.16°, I 41
- 2θ = 13.32°, I 24
- 2θ = 73.38°, I 21
- 2θ = 52.62°, I 17
- 2θ = 52.51°, I 17
- 2θ = 52.83°, I 17
- 2θ = 55.12°, I 16

Atomic structure:
abc: 7.040 4.092 7.044
angles: 90.00 109.21 90.00
Fractional positions:
Ca1 0.000 0.000 0.000
Sm1 0.000 0.500 0.500
Sm2 0.500 0.000 0.500
Pu1 0.500 0.500 0.000
P1 0.261 0.000 0.758
P2 0.261 0.500 0.246
P3 0.739 0.000 0.242
P4 0.739 0.500 0.754

***

Entry 7:
For Li3AcZn2, a PBE-relaxed structure gives the theoretical powder XRD pattern in this record (Cu Kα X-rays).
Kinematic intensities with the Lorentz-polarization factor, no thermal factor.

Peak list (10 most intense, 10° ≤ 2θ ≤ 90°, by intensity)
- 2θ = 33.72°, I 100
- 2θ = 17.49°, I 82
- 2θ = 22.45°, I 65
- 2θ = 35.41°, I 55
- 2θ = 55.00°, I 31
- 2θ = 26.70°, I 25
- 2θ = 30.54°, I 21
- 2θ = 42.33°, I 21
- 2θ = 56.34°, I 19
- 2θ = 36.78°, I 17

Atomic structure:
abc: 10.141 10.141 4.437
angles: 90.00 90.00 120.00
Fractional positions:
Li1 0.000 0.295 0.000
Li2 0.000 0.500 0.500
Li3 0.000 0.705 0.000
Li4 0.295 0.000 0.000
Li5 0.295 0.295 0.000
Li6 0.500 0.000 0.500
Li7 0.500 0.500 0.500
Li8 0.705 0.000 0.000
Li9 0.705 0.705 0.000
Ac1 0.000 0.000 0.500
Ac2 0.333 0.667 0.000
Ac3 0.667 0.333 0.000
Zn1 0.189 0.377 0.500
Zn2 0.189 0.811 0.500
Zn3 0.377 0.189 0.500
Zn4 0.623 0.811 0.500
Zn5 0.811 0.189 0.500
Zn6 0.811 0.623 0.500